# LiP3W2O13
Calculated X-ray diffraction stick pattern, CuKα. Input: a structure optimized by DFT (PBE+U).
Neutral-atom scattering factors, no anomalous dispersion.

Structure:
```
LiP3W2O13
1.0
5.421 -7.102 0.000
5.421 7.102 0.000
-5.219 0.000 7.218
Li P W O
2 6 4 26
Direct
0.000 0.500 0.000 Li
0.500 0.000 0.500 Li
0.012 0.988 0.250 P
0.240 0.652 0.560 P
0.348 0.760 0.940 P
0.652 0.240 0.060 P
0.760 0.348 0.440 P
0.988 0.012 0.750 P
0.161 0.328 0.671 W
0.328 0.161 0.171 W
0.672 0.839 0.829 W
0.839 0.672 0.329 W
0.001 0.103 0.418 O
0.056 0.210 0.793 O
0.100 0.652 0.403 O
0.103 0.001 0.918 O
0.201 0.463 0.533 O
0.210 0.056 0.293 O
0.239 0.761 0.750 O
0.246 0.570 0.906 O
0.302 0.356 0.232 O
0.348 0.900 0.097 O
0.356 0.302 0.732 O
0.430 0.754 0.594 O
0.463 0.201 0.033 O
0.537 0.799 0.967 O
0.570 0.246 0.406 O
0.644 0.698 0.268 O
0.652 0.100 0.903 O
0.698 0.644 0.768 O
0.754 0.430 0.094 O
0.761 0.239 0.250 O
0.790 0.944 0.707 O
0.799 0.537 0.467 O
0.897 0.999 0.082 O
0.900 0.348 0.597 O
0.944 0.790 0.207 O
0.999 0.897 0.582 O
```

Main lines, most intense first (2θ = 15–90°):
| 2θ (°) | d_spacing | I (rel.) |
| --- | --- | --- |
| 17.5 | 5.062 | 100 |
| 20.6 | 4.308 | 43 |
| 26.4 | 3.381 | 32 |
| 32.5 | 2.758 | 31 |
| 21.3 | 4.163 | 31 |
| 30.1 | 2.970 | 23 |
| 20.2 | 4.393 | 22 |
| 41.1 | 2.198 | 22 |
| 23.8 | 3.736 | 19 |
| 32.0 | 2.798 | 16 |